For Sr4Th3MnN8, a structure optimized by DFT (PBE) gives the calculated powder diffraction line list in this record (a wavelength of 1.5418 Å).
Neutral-atom scattering factors, no anomalous dispersion.

Unit cell a=13.048 b=7.034 c=7.211 alpha=90.00 beta=122.53 gamma=90.00
Space group C2/m (No. 12)
Unique sites:
Sr (0.000, 0.000, 0.000) x2
Sr (0.000, 0.500, 0.000) x2
Sr (0.250, 0.250, 0.000) x4
Th (0.000, 0.000, 0.500) x2
Th (0.250, 0.250, 0.500) x4
Mn (0.000, 0.500, 0.500) x2
N (0.012, 0.275, 0.308) x8
N (0.224, 0.000, 0.254) x4
N (0.231, 0.000, 0.711) x4

Top 6 peaks for 2θ = 5–70°, low angle first:
- 2θ = 14.57°, d 6.079, rel. 459, hkl 0 0 1
- 2θ = 29.38°, d 3.040, rel. 583, hkl 0 0 2
- 2θ = 29.87°, d 2.991, rel. 519, hkl 4 0 -2
- 2θ = 30.16°, d 2.963, rel. 1000, hkl 2 2 0
- 2θ = 32.56°, d 2.750, rel. 606, hkl 4 0 0
- 2θ = 35.67°, d 2.517, rel. 940, hkl 2 2 -2